Simulated powder X-ray diffraction pattern
Compound: Sn2S3O12
Radiation: Cu Ka
Structure: a GGA-PBE-relaxed structure
No peak broadening, texture or thermal motion is included.

Crystal structure
Lattice parameters (Å, degrees): 9.1904 9.1904 22.5125 90.00 90.00 120.00
Space group R-3c (No. 167, hexagonal axes)
Unique sites:
Sn 0.0000 0.0000 0.1401 [12 per cell]
S 0.0000 0.2960 0.2500 [18 per cell]
O 0.0011 0.2069 0.3049 [36 per cell]
O 0.0212 0.2005 0.9203 [36 per cell]

The 10 most intense peaks (10 to 90 degrees two-theta), in order of rising 2θ:
- 13.63 deg, I 15, hkl 0 1 2
- 19.32 deg, I 100, hkl 1 0 4
- 22.69 deg, I 41, hkl 1 1 3
- 27.45 deg, I 36, hkl 0 2 4
- 30.76 deg, I 25, hkl 1 1 6
- 33.79 deg, I 57, hkl 3 0 0
- 44.06 deg, I 29, hkl 1 2 8
- 46.34 deg, I 17, hkl 2 2 6
- 52.70 deg, I 39, hkl 4 1 0
- 58.56 deg, I 16, hkl 0 1 14



Simulated powder X-ray diffraction pattern
Compound: Mg2RhAu
Radiation: Cu Ka
Structure: a GGA-PBE-relaxed structure
No peak broadening, texture or thermal motion is included.

Crystal structure
Lattice parameters (Å, degrees): 6.401 6.401 6.401 90.00 90.00 90.00
Space group Fm-3m (No. 225)
Unique sites:
Mg 0.250 0.250 0.250 [8 per cell]
Rh 0.000 0.000 0.000 [4 per cell]
Au 0.000 0.000 0.500 [4 per cell]

The 10 most intense peaks (10 to 90 degrees two-theta), in order of rising 2θ:
- 24.08 deg, I 16, hkl 1 1 1
- 27.87 deg, I 65, hkl 2 0 0
- 39.83 deg, I 100, hkl 2 2 0
- 47.08 deg, I 9, hkl 3 1 1
- 49.31 deg, I 18, hkl 2 2 2
- 57.59 deg, I 17, hkl 4 0 0
- 63.33 deg, I 4, hkl 3 3 1
- 65.17 deg, I 24, hkl 4 2 0
- 72.31 deg, I 34, hkl 4 2 2
- 85.88 deg, I 11, hkl 4 4 0



Question: Which formula does entry 2 have?
Answer: Mg2RhAu